(1)
CaSn3Te4: theoretical powder XRD pattern (a wavelength of 1.5418 Å), based on the GGA-PBE geometry in Alexandria.
Neutral-atom scattering factors, no anomalous dispersion.

Peak list (12 most intense, 15° ≤ 2θ ≤ 90°, sorted by position)
two_theta  I/Imax  index
22.99  2  1 3 0
27.80  100  2 0 1
39.70  64  4 0 0
39.78  13  0 0 2
49.12  14  4 4 0
49.22  14  0 4 2
57.42  13  4 0 2
64.96  30  6 0 1
65.07  6  2 0 3
72.01  13  6 4 1
72.16  13  2 4 3
85.59  6  4 8 2

```
data_CaSn3Te4
_chemical_formula_sum 'Ca2 Sn6 Te8'
_cell_length_a 9.091
_cell_length_b 12.839
_cell_length_c 4.532
_cell_angle_alpha 90.00
_cell_angle_beta 90.00
_cell_angle_gamma 90.00
_space_group_name_H-M_alt 'C m m m'
_space_group_IT_number 65
_space_group_name_Hall '-C 2 2'
loop_
_atom_site_label
_atom_site_type_symbol
_atom_site_fract_x
_atom_site_fract_y
_atom_site_fract_z
_atom_site_occupancy
Ca1 Ca 0.000 0.000 0.000 1
Sn1 Sn 0.000 0.500 0.000 1
Sn2 Sn 0.250 0.250 0.500 1
Te1 Te 0.000 0.249 0.000 1
Te2 Te 0.249 0.000 0.500 1
```

=====

(2)
LaPr2SmTl2: theoretical powder XRD pattern (a wavelength of 1.5418 Å), based on the GGA-PBE geometry in Alexandria.
Neutral-atom scattering factors, no anomalous dispersion.

Peak list (12 most intense, 15° ≤ 2θ ≤ 90°, sorted by position)
two_theta  I/Imax  index
30.53  21  1 0 2
31.00  100  1 3 0
31.78  68  1 1 2
33.14  43  2 0 0
33.62  11  1 3 1
40.60  15  1 3 2
43.90  11  0 4 2
46.05  16  2 2 2
56.10  16  2 4 2
57.86  13  3 3 0
58.35  12  3 1 2
64.27  10  2 1 4

```
data_LaPr2SmTl2
_chemical_formula_sum 'La2 Pr4 Sm2 Tl4'
_cell_length_a 5.406
_cell_length_b 10.237
_cell_length_c 6.967
_cell_angle_alpha 90.00
_cell_angle_beta 90.00
_cell_angle_gamma 90.00
_space_group_name_H-M_alt 'P m c 21'
_space_group_IT_number 26
loop_
_space_group_symop_operation_xyz
'x,y,z'
'-x,-y,z+1/2'
'-x,y,z'
'x,-y,z+1/2'
loop_
_atom_site_label
_atom_site_type_symbol
_atom_site_fract_x
_atom_site_fract_y
_atom_site_fract_z
_atom_site_occupancy
La1 La 0.000 0.040 0.000 1
Pr1 Pr 0.000 0.324 0.338 1
Pr2 Pr 0.500 0.458 0.060 1
Sm1 Sm 0.500 0.180 0.725 1
Tl1 Tl 0.000 0.352 0.811 1
Tl2 Tl 0.500 0.141 0.254 1
```

=====

(3)
Ac11Ni4Hg9: theoretical powder XRD pattern (a wavelength of 1.5418 Å), based on the GGA-PBE geometry in Alexandria.
Neutral-atom scattering factors, no anomalous dispersion.

Peak list (12 most intense, 15° ≤ 2θ ≤ 90°, sorted by position)
two_theta  I/Imax  index
25.90  13  3 5 0
28.57  15  3 1 1
30.11  15  1 5 1
32.27  100  4 0 1
32.85  41  4 6 0
34.38  12  3 5 1
35.37  10  1 9 0
35.81  11  6 2 0
45.42  18  0 0 2
47.14  11  0 12 0
57.17  17  4 6 2
58.28  10  4 12 1

```
data_Ac11Ni4Hg9
_chemical_formula_sum 'Ac22 Ni8 Hg18'
_cell_length_a 15.410
_cell_length_b 23.155
_cell_length_c 3.995
_cell_angle_alpha 90.00
_cell_angle_beta 90.00
_cell_angle_gamma 90.00
_space_group_name_H-M_alt 'C m m m'
_space_group_IT_number 65
_space_group_name_Hall '-C 2 2'
loop_
_atom_site_label
_atom_site_type_symbol
_atom_site_fract_x
_atom_site_fract_y
_atom_site_fract_z
_atom_site_occupancy
Ac1 Ac 0.000 0.000 0.000 1
Ac2 Ac 0.000 0.168 0.000 1
Ac3 Ac 0.000 0.375 0.000 1
Ac4 Ac 0.191 0.500 0.000 1
Ac5 Ac 0.250 0.167 0.000 1
Ni1 Ni 0.149 0.401 0.500 1
Hg1 Hg 0.000 0.500 0.500 1
Hg2 Hg 0.105 0.264 0.500 1
Hg3 Hg 0.145 0.072 0.500 1
```